Theoretical powder diffractogram of LuCo4Ge2 for Cu Kα, from a crystal structure in the Materials Project, relaxed with PBE.

a b c (Å): 7.1893 7.1893 3.7060
angles (deg): 90.00 90.00 90.00
Element x y z (fractional)
Lu 0.0000 0.0000 0.0000
Lu 0.5000 0.5000 0.5000
Co 0.0826 0.3533 0.5000
Co 0.1467 0.5826 0.0000
Co 0.3533 0.0826 0.5000
Co 0.4174 0.8533 0.0000
Co 0.5826 0.1467 0.0000
Co 0.6467 0.9174 0.5000
Co 0.8533 0.4174 0.0000
Co 0.9174 0.6467 0.5000
Ge 0.2214 0.7786 0.5000
Ge 0.2786 0.2786 0.0000
Ge 0.7214 0.7214 0.0000
Ge 0.7786 0.2214 0.5000

Most intense lines, 15° ≤ 2θ ≤ 90°, in order of rising 2θ:
2theta  d [Å]  Rel. int.  index
27.07  3.294  20  1 0 1
35.31  2.542  30  2 2 0
37.02  2.429  100  2 1 1
39.64  2.273  39  3 1 0
43.16  2.096  23  2 2 1
46.88  1.938  44  3 1 1
49.17  1.853  25  0 0 2
58.50  1.578  16  4 1 1
64.92  1.436  18  3 1 2
70.21  1.341  20  4 3 1